Entry 1:
Diffraction record for Sn2P2O9. The powder diffraction line list is simulated, not measured: it uses a DFT-relaxed cell (GGA-PBE, Alexandria) and Cu Kα (λ = 1.5418 Å).
Peak positions follow from Bragg's law for the DFT cell and can differ from measured ones.

Top 10 peaks for 10 to 90 degrees two-theta, by angle:
2θ (°)	d_spacing	I_rel
12.3	7.220	100
12.6	7.045	42
16.5	5.381	85
17.4	5.105	38
18.4	4.813	70
21.5	4.134	50
22.9	3.886	55
29.9	2.985	94
33.9	2.645	42
47.5	1.912	40

Structural model:
```
data_Sn2P2O9
_cell_length_a 14.440
_cell_length_b 6.590
_cell_length_c 8.070
_cell_angle_alpha 90.00
_cell_angle_beta 90.00
_cell_angle_gamma 90.00
_symmetry_space_group_name_H-M 'P n m a'
_symmetry_Int_Tables_number 62
loop_
_symmetry_equiv_pos_as_xyz
'x,y,z'
'-x,-y,-z'
'-x+1/2,-y,z+1/2'
'x+1/2,y,-z+1/2'
'x+1/2,-y+1/2,-z+1/2'
'-x+1/2,y+1/2,z+1/2'
'-x,y+1/2,-z'
'x,-y+1/2,z'
loop_
_atom_site_label
_atom_site_type_symbol
_atom_site_fract_x
_atom_site_fract_y
_atom_site_fract_z
_atom_site_occupancy
Sn1 Sn 0.000 0.000 0.000 1
Sn2 Sn 0.123 0.250 0.354 1
P1 P 0.059 0.750 0.351 1
P2 P 0.194 0.750 0.917 1
O1 O 0.002 0.750 0.177 1
O2 O 0.010 0.250 0.508 1
O3 O 0.041 0.250 0.143 1
O4 O 0.120 0.562 0.346 1
O5 O 0.133 0.556 0.938 1
O6 O 0.223 0.250 0.542 1
O7 O 0.244 0.750 0.745 1
```

Entry 2:
Diffraction record for PrNd2HoTl2. The powder diffraction line list is simulated, not measured: it uses a DFT-relaxed cell (GGA-PBE, Alexandria) and Cu Kα (λ = 1.5418 Å).
Peak positions follow from Bragg's law for the DFT cell and can differ from measured ones.

Top 10 peaks for 10 to 90 degrees two-theta, by angle:
2θ (°)	d_spacing	I_rel
29.1	3.071	19
30.8	2.899	58
31.0	2.883	21
31.3	2.862	100
32.1	2.790	82
33.9	2.647	37
34.3	2.612	60
36.8	2.442	24
51.2	1.784	19
59.6	1.552	19

Structural model:
```
data_PrNd2HoTl2
_cell_length_a 5.223
_cell_length_b 10.263
_cell_length_c 6.972
_cell_angle_alpha 90.00
_cell_angle_beta 90.00
_cell_angle_gamma 90.00
_symmetry_space_group_name_H-M 'P m c 21'
_symmetry_Int_Tables_number 26
loop_
_symmetry_equiv_pos_as_xyz
'x,y,z'
'-x,-y,z+1/2'
'-x,y,z'
'x,-y,z+1/2'
loop_
_atom_site_label
_atom_site_type_symbol
_atom_site_fract_x
_atom_site_fract_y
_atom_site_fract_z
_atom_site_occupancy
Pr1 Pr 0.000 0.045 0.000 1
Nd1 Nd 0.000 0.318 0.374 1
Nd2 Nd 0.500 0.453 0.097 1
Ho1 Ho 0.500 0.189 0.719 1
Tl1 Tl 0.000 0.358 0.838 1
Tl2 Tl 0.500 0.128 0.265 1
```

Entry 3:
Diffraction record for AlCu2Pt6. The powder diffraction line list is simulated, not measured: it uses a DFT-relaxed cell (GGA-PBE, Alexandria) and Cu Kα (λ = 1.5418 Å).
Peak positions follow from Bragg's law for the DFT cell and can differ from measured ones.

Top 10 peaks for 10 to 90 degrees two-theta, by angle:
2θ (°)	d_spacing	I_rel
15.4	5.757	7
33.4	2.683	16
40.3	2.240	100
45.7	1.984	19
47.4	1.919	29
68.0	1.379	20
69.2	1.357	8
80.9	1.189	13
83.2	1.161	18
87.0	1.120	9

Structural model:
```
data_AlCu2Pt6
_cell_length_a 8.142
_cell_length_b 8.142
_cell_length_c 3.967
_cell_angle_alpha 90.00
_cell_angle_beta 90.00
_cell_angle_gamma 90.00
_symmetry_space_group_name_H-M 'P 42/m n m'
_symmetry_Int_Tables_number 136
_symmetry_space_group_name_Hall '-P 4n 2n'
loop_
_atom_site_label
_atom_site_type_symbol
_atom_site_fract_x
_atom_site_fract_y
_atom_site_fract_z
_atom_site_occupancy
Al1 Al 0.000 0.000 0.000 1
Cu1 Cu 0.183 0.183 0.500 1
Pt1 Pt 0.011 0.325 0.000 1
Pt2 Pt 0.145 0.855 0.500 1
```

Entry 4:
Diffraction record for ZnCr2CoN. The powder diffraction line list is simulated, not measured: it uses a DFT-relaxed cell (GGA-PBE, Alexandria) and Cu Kα (λ = 1.5418 Å).
Peak positions follow from Bragg's law for the DFT cell and can differ from measured ones.

Top 10 peaks for 10 to 90 degrees two-theta, by angle:
2θ (°)	d_spacing	I_rel
33.4	2.683	5
41.2	2.192	100
47.8	1.903	19
48.0	1.896	38
59.6	1.552	1
70.1	1.343	22
70.2	1.341	11
84.5	1.147	11
84.8	1.144	21
89.4	1.096	11

Structural model:
```
data_ZnCr2CoN
_cell_length_a 3.792
_cell_length_b 3.792
_cell_length_c 3.806
_cell_angle_alpha 90.00
_cell_angle_beta 90.00
_cell_angle_gamma 90.00
_symmetry_space_group_name_H-M 'P 4/m m m'
_symmetry_Int_Tables_number 123
_symmetry_space_group_name_Hall '-P 4 2'
loop_
_atom_site_label
_atom_site_type_symbol
_atom_site_fract_x
_atom_site_fract_y
_atom_site_fract_z
_atom_site_occupancy
Zn1 Zn 0.000 0.000 0.000 1
Cr1 Cr 0.000 0.500 0.500 1
Co1 Co 0.500 0.500 0.000 1
N1 N 0.500 0.500 0.500 1
```

Entry 5:
Diffraction record for Ta6RhW. The powder diffraction line list is simulated, not measured: it uses a DFT-relaxed cell (GGA-PBE, Alexandria) and Cu Kα (λ = 1.5418 Å).
Peak positions follow from Bragg's law for the DFT cell and can differ from measured ones.

Top 10 peaks for 10 to 90 degrees two-theta, by angle:
2θ (°)	d_spacing	I_rel
20.5	4.338	2
30.7	2.914	1
38.9	2.314	100
39.2	2.297	49
55.8	1.648	9
56.7	1.624	17
70.3	1.339	18
70.9	1.329	35
83.6	1.157	11
84.3	1.149	6

Structural model:
```
data_Ta6RhW
_cell_length_a 13.960
_cell_length_b 4.594
_cell_length_c 4.594
_cell_angle_alpha 90.00
_cell_angle_beta 109.15
_cell_angle_gamma 90.00
_symmetry_space_group_name_H-M 'C 1 2/m 1'
_symmetry_Int_Tables_number 12
loop_
_symmetry_equiv_pos_as_xyz
'x,y,z'
'-x,-y,-z'
'-x,y,-z'
'x,-y,z'
'x+1/2,y+1/2,z'
'-x+1/2,-y+1/2,-z'
'-x+1/2,y+1/2,-z'
'x+1/2,-y+1/2,z'
loop_
_atom_site_label
_atom_site_type_symbol
_atom_site_fract_x
_atom_site_fract_y
_atom_site_fract_z
_atom_site_occupancy
Ta1 Ta 0.122 0.000 0.122 1
Ta2 Ta 0.122 0.500 0.622 1
Ta3 Ta 0.248 0.000 0.748 1
Rh1 Rh 0.000 0.500 0.000 1
W1 W 0.000 0.000 0.500 1
```

Entry 6:
Diffraction record for Ac12SmCo7. The powder diffraction line list is simulated, not measured: it uses a DFT-relaxed cell (GGA-PBE, Alexandria) and Cu Kα (λ = 1.5418 Å).
Peak positions follow from Bragg's law for the DFT cell and can differ from measured ones.

Top 10 peaks for 10 to 90 degrees two-theta, by angle:
2θ (°)	d_spacing	I_rel
26.4	3.381	100
30.5	2.928	97
43.7	2.070	72
51.8	1.766	36
51.8	1.764	12
54.3	1.689	19
72.1	1.310	16
72.2	1.308	15
80.4	1.195	17
86.4	1.126	12

Structural model:
```
data_Ac12SmCo7
_cell_length_a 14.9134
_cell_length_b 14.9134
_cell_length_c 10.1636
_cell_angle_alpha 90.00
_cell_angle_beta 90.00
_cell_angle_gamma 120.00
_symmetry_space_group_name_H-M 'R -3'
_symmetry_Int_Tables_number 148
_symmetry_space_group_name_Hall '-R 3'
loop_
_atom_site_label
_atom_site_type_symbol
_atom_site_fract_x
_atom_site_fract_y
_atom_site_fract_z
_atom_site_occupancy
Ac1 Ac 0.0258 0.5852 0.1602 1
Ac2 Ac 0.0476 0.1698 0.8254 1
Sm1 Sm 0.0000 0.0000 0.5000 1
Co1 Co 0.0000 0.0000 0.0000 1
Co2 Co 0.0444 0.1855 0.3359 1
```

Entry 7:
Diffraction record for Bi2TeS5. The powder diffraction line list is simulated, not measured: it uses a DFT-relaxed cell (GGA-PBE, Alexandria) and Cu Kα (λ = 1.5418 Å).
Peak positions follow from Bragg's law for the DFT cell and can differ from measured ones.

Top 10 peaks for 10 to 90 degrees two-theta, by angle:
2θ (°)	d_spacing	I_rel
12.4	7.141	89
17.2	5.165	96
24.2	3.674	100
24.7	3.611	74
27.0	3.298	76
32.3	2.770	55
32.6	2.743	72
40.8	2.212	52
41.3	2.185	65
46.6	1.949	52

Structural model:
```
data_Bi2TeS5
_cell_length_a 5.541
_cell_length_b 14.282
_cell_length_c 12.855
_cell_angle_alpha 90.00
_cell_angle_beta 90.00
_cell_angle_gamma 90.00
_symmetry_space_group_name_H-M 'C m c m'
_symmetry_Int_Tables_number 63
_symmetry_space_group_name_Hall '-C 2c 2'
loop_
_atom_site_label
_atom_site_type_symbol
_atom_site_fract_x
_atom_site_fract_y
_atom_site_fract_z
_atom_site_occupancy
Bi1 Bi 0.000 0.166 0.065 1
Te1 Te 0.000 0.165 0.750 1
S1 S 0.000 0.052 0.614 1
S2 S 0.000 0.282 0.250 1
S3 S 0.000 0.309 0.562 1
```

Entry 8:
Diffraction record for Cs2NpI2F4. The powder diffraction line list is simulated, not measured: it uses a DFT-relaxed cell (GGA-PBE, Alexandria) and Cu Kα (λ = 1.5418 Å).
Peak positions follow from Bragg's law for the DFT cell and can differ from measured ones.

Top 10 peaks for 10 to 90 degrees two-theta, by angle:
2θ (°)	d_spacing	I_rel
14.2	6.246	44
16.1	5.495	26
22.9	3.885	100
23.4	3.796	34
28.0	3.191	54
32.6	2.747	55
36.4	2.466	42
41.5	2.175	26
49.7	1.835	24
52.7	1.738	24

Structural model:
```
data_Cs2NpI2F4
_cell_length_a 7.771
_cell_length_b 7.771
_cell_length_c 10.500
_cell_angle_alpha 90.00
_cell_angle_beta 90.00
_cell_angle_gamma 90.00
_symmetry_space_group_name_H-M 'I 4/m m m'
_symmetry_Int_Tables_number 139
_symmetry_space_group_name_Hall '-I 4 2'
loop_
_atom_site_label
_atom_site_type_symbol
_atom_site_fract_x
_atom_site_fract_y
_atom_site_fract_z
_atom_site_occupancy
Cs1 Cs 0.000 0.500 0.250 1
Np1 Np 0.000 0.000 0.000 1
I1 I 0.000 0.000 0.296 1
F1 F 0.192 0.192 0.000 1
```

Please write out number 8 again, unchanged.
Diffraction record for Cs2NpI2F4. The powder diffraction line list is simulated, not measured: it uses a DFT-relaxed cell (GGA-PBE, Alexandria) and Cu Kα (λ = 1.5418 Å).
Peak positions follow from Bragg's law for the DFT cell and can differ from measured ones.

Top 10 peaks for 10 to 90 degrees two-theta, by angle:
2θ (°)	d_spacing	I_rel
14.2	6.246	44
16.1	5.495	26
22.9	3.885	100
23.4	3.796	34
28.0	3.191	54
32.6	2.747	55
36.4	2.466	42
41.5	2.175	26
49.7	1.835	24
52.7	1.738	24

Structural model:
```
data_Cs2NpI2F4
_cell_length_a 7.771
_cell_length_b 7.771
_cell_length_c 10.500
_cell_angle_alpha 90.00
_cell_angle_beta 90.00
_cell_angle_gamma 90.00
_symmetry_space_group_name_H-M 'I 4/m m m'
_symmetry_Int_Tables_number 139
_symmetry_space_group_name_Hall '-I 4 2'
loop_
_atom_site_label
_atom_site_type_symbol
_atom_site_fract_x
_atom_site_fract_y
_atom_site_fract_z
_atom_site_occupancy
Cs1 Cs 0.000 0.500 0.250 1
Np1 Np 0.000 0.000 0.000 1
I1 I 0.000 0.000 0.296 1
F1 F 0.192 0.192 0.000 1
```

Question: Which formula does entry 1 have?
Answer: Sn2P2O9